Calculated PXRD pattern
Compound: Rb2CaAs2
Radiation: Cu Kα X-rays
Structure: a structure optimized by DFT (PBE)

```
data_Rb2CaAs2
_chemical_formula_sum 'Rb2 Ca1 As2'
_cell_length_a 3.7659
_cell_length_b 3.7659
_cell_length_c 16.9453
_cell_angle_alpha 90.00
_cell_angle_beta 90.00
_cell_angle_gamma 90.00
_symmetry_space_group_name_H-M 'P 1'
_symmetry_Int_Tables_number 1
_symmetry_space_group_name_Hall 'P 1'
loop_
_atom_site_label
_atom_site_type_symbol
_atom_site_fract_x
_atom_site_fract_y
_atom_site_fract_z
Rb1 Rb 0.0000 0.0000 0.1487
Rb2 Rb 0.0000 0.0000 0.8513
Ca1 Ca 0.0000 0.0000 0.5000
As1 As 0.0000 0.0000 0.3376
As2 As 0.0000 0.0000 0.6624
```

Largest 10 diffraction maxima, by angle, 2θ = 10–90°:
Position (°2θ), I/Imax
21.0, 18
23.6, 100
31.7, 19
31.8, 25
33.7, 40
39.9, 52
46.9, 24
54.5, 19
59.0, 20
64.4, 18

Calculated PXRD pattern
Compound: Ho2FeSi4
Radiation: Cu Kα X-rays
Structure: a structure optimized by DFT (PBE)

```
data_Ho2FeSi4
_chemical_formula_sum 'Ho2 Fe1 Si4'
_cell_length_a 3.9743
_cell_length_b 7.7928
_cell_length_c 7.7928
_cell_angle_alpha 30.38
_cell_angle_beta 90.00
_cell_angle_gamma 90.00
_symmetry_space_group_name_H-M 'P 1'
_symmetry_Int_Tables_number 1
_symmetry_space_group_name_Hall 'P 1'
loop_
_atom_site_label
_atom_site_type_symbol
_atom_site_fract_x
_atom_site_fract_y
_atom_site_fract_z
Ho1 Ho 0.0000 0.0000 0.0000
Ho2 Ho 0.5000 0.2027 0.2027
Fe1 Fe 0.0000 0.7966 0.7966
Si1 Si 0.0000 0.3589 0.3589
Si2 Si 0.0000 0.6466 0.6466
Si3 Si 0.5000 0.5415 0.5415
Si4 Si 0.5000 0.8593 0.8593
```

Largest 10 diffraction maxima, by angle, 2θ = 10–90°:
Position (°2θ), I/Imax
22.6, 42
23.7, 18
25.3, 49
32.0, 43
36.3, 100
37.1, 46
42.6, 21
44.4, 24
45.7, 22
60.2, 22

Calculated PXRD pattern
Compound: SrAl2Si2O8
Radiation: Cu Kα X-rays
Structure: a structure optimized by DFT (PBE)

```
data_SrAl2Si2O8
_chemical_formula_sum 'Sr4 Al8 Si8 O32'
_cell_length_a 9.8775
_cell_length_b 9.8775
_cell_length_c 10.2545
_cell_angle_alpha 103.37
_cell_angle_beta 103.37
_cell_angle_gamma 73.80
_symmetry_space_group_name_H-M 'P 1'
_symmetry_Int_Tables_number 1
_symmetry_space_group_name_Hall 'P 1'
loop_
_atom_site_label
_atom_site_type_symbol
_atom_site_fract_x
_atom_site_fract_y
_atom_site_fract_z
Sr1 Sr 0.0782 0.3335 0.2365
Sr2 Sr 0.3335 0.0782 0.7365
Sr3 Sr 0.6665 0.9218 0.2635
Sr4 Sr 0.9218 0.6665 0.7635
Al1 Al 0.0660 0.0940 0.8942
Al2 Al 0.0940 0.0660 0.3942
Al3 Al 0.2975 0.5553 0.4038
Al4 Al 0.4447 0.7025 0.0962
Al5 Al 0.5553 0.2975 0.9038
Al6 Al 0.7025 0.4447 0.5962
Al7 Al 0.9060 0.9340 0.6058
Al8 Al 0.9340 0.9060 0.1058
Si1 Si 0.0082 0.7731 0.3514
Si2 Si 0.2269 0.9918 0.1486
Si3 Si 0.2588 0.4649 0.9740
Si4 Si 0.4649 0.2588 0.4740
Si5 Si 0.5351 0.7412 0.5260
Si6 Si 0.7412 0.5351 0.0260
Si7 Si 0.7731 0.0082 0.8514
Si8 Si 0.9918 0.2269 0.6486
O1 O 0.0710 0.8397 0.6989
O2 O 0.0793 0.2215 0.8044
O3 O 0.1054 0.8901 0.4030
O4 O 0.1099 0.8946 0.0970
O5 O 0.1141 0.6125 0.3632
O6 O 0.1175 0.1830 0.5534
O7 O 0.1347 0.5417 0.8684
O8 O 0.1603 0.9290 0.8011
O9 O 0.1830 0.1175 0.0534
O10 O 0.2215 0.0793 0.3044
O11 O 0.3234 0.3748 0.4005
O12 O 0.3619 0.5690 0.0753
O13 O 0.3748 0.3234 0.9005
O14 O 0.3875 0.8859 0.1368
O15 O 0.4310 0.6381 0.4247
O16 O 0.4583 0.8653 0.6316
O17 O 0.5417 0.1347 0.3684
O18 O 0.5690 0.3619 0.5753
O19 O 0.6125 0.1141 0.8632
O20 O 0.6252 0.6766 0.0995
O21 O 0.6381 0.4310 0.9247
O22 O 0.6766 0.6252 0.5995
O23 O 0.7785 0.9207 0.6956
O24 O 0.8170 0.8825 0.9466
O25 O 0.8397 0.0710 0.1989
O26 O 0.8653 0.4583 0.1316
O27 O 0.8825 0.8170 0.4466
O28 O 0.8859 0.3875 0.6368
O29 O 0.8901 0.1054 0.9030
O30 O 0.8946 0.1099 0.5970
O31 O 0.9207 0.7785 0.1956
O32 O 0.9290 0.1603 0.3011
```

Largest 10 diffraction maxima, by angle, 2θ = 10–90°:
Position (°2θ), I/Imax
17.5, 38
18.5, 100
18.9, 41
22.5, 36
27.2, 30
29.3, 26
29.8, 23
30.1, 23
30.5, 32
31.2, 27

> Number 2 is which compound?

Ho2FeSi4

What did the second record say?
Calculated PXRD pattern
Compound: Ho2FeSi4
Radiation: Cu Kα X-rays
Structure: a structure optimized by DFT (PBE)

```
data_Ho2FeSi4
_chemical_formula_sum 'Ho2 Fe1 Si4'
_cell_length_a 3.9743
_cell_length_b 7.7928
_cell_length_c 7.7928
_cell_angle_alpha 30.38
_cell_angle_beta 90.00
_cell_angle_gamma 90.00
_symmetry_space_group_name_H-M 'P 1'
_symmetry_Int_Tables_number 1
_symmetry_space_group_name_Hall 'P 1'
loop_
_atom_site_label
_atom_site_type_symbol
_atom_site_fract_x
_atom_site_fract_y
_atom_site_fract_z
Ho1 Ho 0.0000 0.0000 0.0000
Ho2 Ho 0.5000 0.2027 0.2027
Fe1 Fe 0.0000 0.7966 0.7966
Si1 Si 0.0000 0.3589 0.3589
Si2 Si 0.0000 0.6466 0.6466
Si3 Si 0.5000 0.5415 0.5415
Si4 Si 0.5000 0.8593 0.8593
```

Largest 10 diffraction maxima, by angle, 2θ = 10–90°:
Position (°2θ), I/Imax
22.6, 42
23.7, 18
25.3, 49
32.0, 43
36.3, 100
37.1, 46
42.6, 21
44.4, 24
45.7, 22
60.2, 22